This entry pairs a crystal structure of CaMnSb2 with its theoretical powder diffractogram. Radiation: copper Kα. Structure: a GGA-PBE-relaxed structure.
Intensities are scaled so that the largest is 100.

The 10 most intense peaks (10° ≤ 2θ ≤ 90°), in order of rising 2θ:
| index | d (Å) | I_rel |
| --- | --- | --- |
| 0 0 2 | 5.287 | 20.4 |
| 0 0 3 | 3.524 | 22.1 |
| 1 0 2 | 3.379 | 42.9 |
| 1 1 1 | 2.981 | 35.5 |
| 1 1 2 | 2.679 | 100.0 |
| 2 0 0 | 2.197 | 49.5 |
| 1 1 4 | 2.013 | 36.8 |
| 2 0 3 | 1.864 | 15.0 |
| 2 2 0 | 1.554 | 15.9 |
| 3 1 2 | 1.344 | 21.3 |

Crystal structure
Cell lengths 4.394, 4.394, 10.573 Å; angles 90.00, 90.00, 90.00 degrees
Sites, in units of the cell vectors:
Ca  0.250  0.250  0.236
Ca  0.750  0.750  0.764
Mn  0.250  0.750  0.500
Mn  0.750  0.250  0.500
Sb  0.250  0.250  0.650
Sb  0.250  0.750  0.000
Sb  0.750  0.250  0.000
Sb  0.750  0.750  0.350